Starting from a cell relaxed with GGA-PBE, the powder diffractogram of EuTmO3 was simulated for Cu Kα (λ = 1.5418 Å).

Principal peaks in the range 2θ from 10° to 80°, sorted by position:
- 2θ 29.69, d = 3.009 Å, I = 23, (2 0 0)
- 2θ 30.47, d = 2.934 Å, I = 100, (1 2 1)
- 2θ 30.81, d = 2.902 Å, I = 24, (0 0 2)
- 2θ 43.32, d = 2.089 Å, I = 20, (2 0 2)
- 2θ 43.94, d = 2.061 Å, I = 12, (0 4 0)
- 2θ 53.18, d = 1.722 Å, I = 16, (3 2 1)
- 2θ 54.59, d = 1.681 Å, I = 35, (1 2 3)
- 2θ 63.41, d = 1.467 Å, I = 12, (2 4 2)

Cell and atoms:
```
20
Lattice="6.0176 0.0000 0.0000 0.0000 8.2429 0.0000 0.0000 0.0000 5.8043" Properties=species:S:1:pos:R:3 pbc="T T T"
Eu 0.3172 2.0607 0.0562
Eu 2.6916 6.1822 2.9584
Eu 3.3261 2.0607 2.8459
Eu 5.7004 6.1822 5.7481
Tm 0.0000 0.0000 2.9022
Tm 0.0000 4.1215 2.9022
Tm 3.0088 0.0000 0.0000
Tm 3.0088 4.1215 0.0000
O 0.3908 6.1822 2.1591
O 1.1121 4.6650 4.7517
O 1.1121 7.6994 4.7517
O 1.8967 0.5435 1.8495
O 1.8967 3.5779 1.8495
O 2.6181 2.0607 5.0613
O 3.3996 6.1822 0.7430
O 4.1209 4.6650 3.9548
O 4.1209 7.6994 3.9548
O 4.9056 0.5435 1.0526
O 4.9056 3.5779 1.0526
O 5.6269 2.0607 3.6452
```

---

Starting from a cell relaxed with GGA-PBE, the powder diffractogram of TmZr was simulated for Cu Kα (λ = 1.5418 Å).

Principal peaks in the range 2θ from 10° to 80°, sorted by position:
- 2θ 30.49, d = 2.932 Å, I = 29, (1 0 0)
- 2θ 33.71, d = 2.659 Å, I = 24, (0 0 2)
- 2θ 34.95, d = 2.567 Å, I = 100, (1 0 1)
- 2θ 46.08, d = 1.970 Å, I = 19, (1 0 2)
- 2θ 54.19, d = 1.693 Å, I = 18, (1 1 0)
- 2θ 61.09, d = 1.517 Å, I = 20, (1 0 3)
- 2θ 65.35, d = 1.428 Å, I = 21, (1 1 2)
- 2θ 66.12, d = 1.413 Å, I = 16, (2 0 1)

Cell and atoms:
```
2
Lattice="3.3854 0.0000 0.0000 -1.6927 2.9318 0.0000 0.0000 0.0000 5.3179" Properties=species:S:1:pos:R:3 pbc="T T T"
Tm 0.0000 0.0000 0.0000
Zr 1.6927 0.9773 2.6590
```